1.
SnBiSb2Au4: theoretical X-ray diffraction stick pattern (copper Kα), based on a GGA-PBE-relaxed structure.
Kinematic intensities with the Lorentz-polarization factor, no thermal factor.

Largest 6 diffraction maxima, sorted by position, 2θ = 10–90°:
2θ/deg  intensity
30.68  100.0
31.07  47.9
44.23  73.8
54.70  19.8
54.87  19.6
72.72  26.0

Structure:
a b c (Å): 7.0852 5.8288 7.0747
angles (deg): 65.79 48.62 65.60
Fractional coordinates of all 8 atoms:
Sn 0.0000 0.0000 0.0000
Bi 0.5028 0.5028 0.4972
Sb 0.2520 0.2520 0.2480
Sb 0.7520 0.7520 0.7480
Au 0.0029 0.5002 0.9971
Au 0.2444 0.7595 0.2405
Au 0.5002 0.0029 0.4998
Au 0.7595 0.2444 0.7556

=====

2.
Pr2Er3In4: theoretical X-ray diffraction stick pattern (copper Kα), based on a GGA-PBE-relaxed structure.
Kinematic intensities with the Lorentz-polarization factor, no thermal factor.

Largest 6 diffraction maxima, sorted by position, 2θ = 10–90°:
2θ/deg  intensity
29.28  38.1
30.74  67.3
31.84  35.9
32.47  100.0
32.99  49.0
51.46  20.1

Structure:
a b c (Å): 9.2473 9.2473 8.9275
angles (deg): 90.00 90.00 135.42
Fractional coordinates of all 18 atoms:
Pr 0.1062 0.8938 0.9187
Pr 0.3938 0.6062 0.4187
Pr 0.6062 0.3938 0.5813
Pr 0.8938 0.1062 0.0813
Er 0.0000 0.0000 0.5000
Er 0.0268 0.4732 0.7500
Er 0.4732 0.0268 0.2500
Er 0.5000 0.5000 0.0000
Er 0.5268 0.9732 0.7500
Er 0.9732 0.5268 0.2500
In 0.1785 0.8215 0.5391
In 0.2053 0.2947 0.7500
In 0.2947 0.2053 0.2500
In 0.3215 0.6785 0.0391
In 0.6785 0.3215 0.9609
In 0.7053 0.7947 0.7500
In 0.7947 0.7053 0.2500
In 0.8215 0.1785 0.4609